For Nb2SnO6, a cell relaxed with GGA-PBE gives the simulated powder diffractogram in this record (Cu Kα X-rays).
Intensities are scaled so that the largest is 100.

Principal peaks in the range 2θ = 10–90°, in order of rising 2θ:
2θ/deg  Rel. int.
24.20  23
28.06  100
28.69  96
30.83  40
31.37  22
36.21  17
48.28  27
48.65  16
51.57  20
52.78  26
53.89  25
60.60  12

Atomic structure:
```
Nb2SnO6
1.0
8.7063 -2.4806 0.0000
8.7063 2.4806 0.0000
-0.2069 0.0000 5.7035
Nb Sn O
4 2 12
Direct
0.0714 0.5880 0.8261
0.4120 0.9286 0.6739
0.5880 0.0714 0.3261
0.9286 0.4120 0.1739
0.2252 0.7748 0.2500
0.7748 0.2252 0.7500
0.0088 0.8454 0.9073
0.1546 0.9912 0.5927
0.1630 0.2760 0.8528
0.2760 0.1630 0.3528
0.3230 0.3912 0.5810
0.3912 0.3230 0.0810
0.6088 0.6770 0.9190
0.6770 0.6088 0.4190
0.7240 0.8370 0.6472
0.8370 0.7240 0.1472
0.8454 0.0088 0.4073
0.9912 0.1546 0.0927
```

***

For Sr2NbSnO6, a cell relaxed with GGA-PBE gives the simulated powder diffractogram in this record (Cu Kα X-rays).
Intensities are scaled so that the largest is 100.

Principal peaks in the range 2θ = 10–90°, in order of rising 2θ:
2θ/deg  Rel. int.
18.68  1
21.60  6
30.73  100
37.87  1
44.01  34
49.54  2
54.64  41
64.00  21
68.40  1
72.67  18
80.94  7
89.02  22

Atomic structure:
```
Sr2NbSnO6
1.0
0.0000 4.1147 4.1147
4.1147 0.0000 4.1147
4.1147 4.1147 0.0000
Sr Nb Sn O
2 1 1 6
Direct
0.2500 0.2500 0.2500
0.7500 0.7500 0.7500
0.0000 0.0000 0.0000
0.5000 0.5000 0.5000
0.2500 0.2500 0.7500
0.2500 0.7500 0.2500
0.2500 0.7500 0.7500
0.7500 0.2500 0.2500
0.7500 0.2500 0.7500
0.7500 0.7500 0.2500
```